Entry 1:
Computed powder X-ray diffraction pattern of AgAu3 for copper Kα, from a cell relaxed with PBE.
Kinematic intensities with the Lorentz-polarization factor, no thermal factor.

Largest 10 diffraction maxima, in order of rising 2θ, 15 to 90 degrees two-theta:
2θ/deg  d_spacing  Rel. int.
21.37  4.159  42
30.40  2.941  37
37.46  2.401  1000
43.52  2.079  493
48.98  1.860  22
54.01  1.698  17
63.24  1.470  326
67.57  1.386  12
75.88  1.254  390
79.90  1.201  114

Structure:
```
4
Lattice="4.159 0.000 0.000 0.000 4.159 0.000 0.000 0.000 4.159" Properties=species:S:1:pos:R:3 pbc="T T T"
Ag 0.000 0.000 0.000
Au 0.000 2.079 2.079
Au 2.079 0.000 2.079
Au 2.079 2.079 0.000
```

Entry 2:
Computed powder X-ray diffraction pattern of Er2TmMg5 for copper Kα, from a cell relaxed with PBE.
Kinematic intensities with the Lorentz-polarization factor, no thermal factor.

Largest 10 diffraction maxima, in order of rising 2θ, 15 to 90 degrees two-theta:
2θ/deg  d_spacing  Rel. int.
22.46  3.959  162
23.38  3.805  287
24.20  3.677  526
33.90  2.644  1000
34.29  2.615  241
34.70  2.586  236
41.92  2.155  125
49.58  1.839  170
61.16  1.515  184
61.68  1.504  177

Structure:
```
16
Lattice="5.171 0.000 0.000 0.000 7.609 0.000 0.000 0.000 10.460" Properties=species:S:1:pos:R:3 pbc="T T T"
Er 0.000 0.000 0.000
Er 0.000 3.805 5.230
Er 2.586 0.000 2.702
Er 2.586 3.805 7.932
Tm 0.000 0.000 5.323
Tm 0.000 3.805 0.093
Mg 0.000 1.861 7.883
Mg 0.000 1.944 2.653
Mg 0.000 5.666 2.653
Mg 0.000 5.748 7.883
Mg 2.586 0.000 7.935
Mg 2.586 1.896 5.326
Mg 2.586 1.908 0.095
Mg 2.586 3.805 2.705
Mg 2.586 5.701 0.095
Mg 2.586 5.713 5.326
```

Entry 3:
Computed powder X-ray diffraction pattern of Y2TmMg4Tl2 for copper Kα, from a cell relaxed with PBE.
Kinematic intensities with the Lorentz-polarization factor, no thermal factor.

Largest 10 diffraction maxima, in order of rising 2θ, 15 to 90 degrees two-theta:
2θ/deg  d_spacing  Rel. int.
23.46  3.792  174
23.56  3.776  220
30.54  2.928  1000
33.49  2.676  492
33.59  2.668  279
36.35  2.471  152
38.91  2.314  220
41.38  2.182  203
45.93  1.976  231
65.31  1.429  213

Structure:
```
9
Lattice="4.629 0.000 0.000 0.000 6.529 3.793 0.000 -6.529 3.793" Properties=species:S:1:pos:R:3 pbc="T T T"
Y 0.000 -3.688 3.793
Y 0.000 3.688 3.793
Tm 0.000 0.000 4.970
Mg 0.000 0.000 1.682
Mg 2.314 -1.583 2.576
Mg 2.314 1.583 2.576
Mg 2.314 0.000 7.413
Tl 2.314 -2.158 5.442
Tl 2.314 2.158 5.442
```

Entry 4:
Computed powder X-ray diffraction pattern of La2Pr2CBr5 for copper Kα, from a cell relaxed with PBE.
Kinematic intensities with the Lorentz-polarization factor, no thermal factor.

Largest 10 diffraction maxima, in order of rising 2θ, 15 to 90 degrees two-theta:
2θ/deg  d_spacing  Rel. int.
27.38  3.258  156
29.66  3.012  443
30.03  2.976  210
30.45  2.936  1000
33.30  2.690  173
42.16  2.143  160
42.96  2.105  281
43.09  2.099  294
45.00  2.014  182
54.83  1.674  169

Structure:
```
10
Lattice="9.295 -2.014 0.000 9.295 2.014 0.000 -2.010 0.000 8.335" Properties=species:S:1:pos:R:3 pbc="T T T"
La -0.563 0.000 2.436
La 17.143 0.000 5.899
Pr 5.816 0.000 3.533
Pr 10.764 0.000 4.802
C 8.290 0.000 4.167
Br 1.392 0.000 7.020
Br 2.533 0.000 2.779
Br 9.295 0.000 0.000
Br 14.047 0.000 5.555
Br 15.188 0.000 1.315
```